This entry pairs a crystal structure of SrPb6 with its computed X-ray diffraction stick pattern. Radiation: copper Kα. Structure: a PBE-relaxed structure.

Largest 10 diffraction maxima, sorted by position, 10° ≤ 2θ ≤ 90°:
26.7 deg, d 3.333, intensity 40.1; 29.4 deg, d 3.035, intensity 74.7; 30.0 deg, d 2.979, intensity 62.1; 30.1 deg, d 2.967, intensity 40.8; 31.4 deg, d 2.851, intensity 100.0; 32.8 deg, d 2.734, intensity 62.8; 33.1 deg, d 2.706, intensity 49.5; 33.9 deg, d 2.643, intensity 39.9; 34.3 deg, d 2.612, intensity 49.7; 36.1 deg, d 2.490, intensity 98.2

Lattice parameters (Å, degrees): 11.906 6.492 12.312 90.00 90.00 90.00
Sites, in units of the cell vectors:
Sr1 0.208 0.250 0.112
Sr2 0.292 0.750 0.612
Sr3 0.708 0.250 0.388
Sr4 0.792 0.750 0.888
Pb1 0.023 0.750 0.102
Pb2 0.027 0.501 0.356
Pb3 0.027 0.999 0.356
Pb4 0.106 0.750 0.850
Pb5 0.192 0.250 0.530
Pb6 0.231 0.250 0.793
Pb7 0.269 0.750 0.293
Pb8 0.308 0.750 0.030
Pb9 0.394 0.250 0.350
Pb10 0.473 0.001 0.856
Pb11 0.473 0.499 0.856
Pb12 0.477 0.250 0.602
Pb13 0.523 0.750 0.398
Pb14 0.527 0.501 0.144
Pb15 0.527 0.999 0.144
Pb16 0.606 0.750 0.650
Pb17 0.692 0.250 0.970
Pb18 0.731 0.250 0.707
Pb19 0.769 0.750 0.207
Pb20 0.808 0.750 0.470
Pb21 0.894 0.250 0.150
Pb22 0.973 0.001 0.644
Pb23 0.973 0.499 0.644
Pb24 0.977 0.250 0.898

=====

This entry pairs a crystal structure of BeZnAsIr with its computed X-ray diffraction stick pattern. Radiation: copper Kα. Structure: a PBE-relaxed structure.

Largest 10 diffraction maxima, sorted by position, 10° ≤ 2θ ≤ 90°:
14.7 deg, d 6.026, intensity 30.2; 25.2 deg, d 3.540, intensity 100.0; 35.2 deg, d 2.553, intensity 52.3; 40.9 deg, d 2.205, intensity 15.4; 44.0 deg, d 2.058, intensity 18.0; 44.9 deg, d 2.020, intensity 31.0; 45.1 deg, d 2.009, intensity 18.0; 46.4 deg, d 1.958, intensity 72.8; 49.2 deg, d 1.852, intensity 15.7; 61.9 deg, d 1.499, intensity 20.3

Lattice parameters (Å, degrees): 2.818 6.304 6.304 34.16 90.00 90.00
Sites, in units of the cell vectors:
Be1 0.000 0.000 0.000
Zn1 0.000 0.656 0.656
As1 0.000 0.299 0.299
Ir1 0.500 0.469 0.469

=====

> Which formula does entry 2 have?

BeZnAsIr